For In5HgCl4, a PBE-relaxed structure gives the computed X-ray powder pattern in this record (Cu Kα).
No peak broadening, texture or thermal motion is included.

```
In5HgCl4
1.0
-2.094 3.108 11.966
2.094 -3.108 11.966
2.094 3.108 -11.966
In Hg Cl
5 1 4
Cartesian
0.000 0.000 0.000 In
0.000 0.000 4.818 In
0.000 0.000 9.716 In
0.000 0.000 14.216 In
0.000 0.000 19.114 In
0.000 3.108 0.000 Hg
2.094 0.000 2.446 Cl
2.094 0.000 7.361 Cl
0.000 3.108 4.604 Cl
0.000 3.108 9.520 Cl
```

Main lines, in order of falling intensity (5° ≤ 2θ ≤ 70°):
3.152 Å, 2θ 28.31, I = 100; 2.213 Å, 2θ 40.78, I = 73; 3.108 Å, 2θ 28.73, I = 49; 11.966 Å, 2θ 7.39, I = 34; 6.005 Å, 2θ 14.75, I = 23; 2.393 Å, 2θ 37.58, I = 22

=====

For In2Hg3Cl2, a PBE-relaxed structure gives the computed X-ray powder pattern in this record (Cu Kα).
No peak broadening, texture or thermal motion is included.

```
In2Hg3Cl2
1.0
4.295 0.000 0.000
0.000 4.257 0.000
-1.523 0.000 14.583
In Hg Cl
2 3 2
Cartesian
0.080 0.000 3.050 In
2.692 0.000 11.533 In
0.000 0.000 0.000 Hg
0.361 0.000 6.103 Hg
2.410 0.000 8.480 Hg
0.525 2.128 11.540 Cl
2.246 2.128 3.043 Cl
```

Main lines, in order of falling intensity (5° ≤ 2θ ≤ 70°):
4.260 Å, 2θ 20.85, I = 100; 2.997 Å, 2θ 29.82, I = 41; 2.916 Å, 2θ 30.66, I = 40; 2.244 Å, 2θ 40.18, I = 35; 2.406 Å, 2θ 37.37, I = 33; 4.219 Å, 2θ 21.05, I = 31

=====

For LiInHgCl4, a PBE-relaxed structure gives the computed X-ray powder pattern in this record (Cu Kα).
No peak broadening, texture or thermal motion is included.

```
LiInHgCl4
1.0
6.365 -3.846 0.000
6.365 3.846 0.000
-3.104 0.000 9.605
Li In Hg Cl
2 2 2 8
Cartesian
2.327 0.000 2.154 Li
7.299 0.000 7.452 Li
-0.597 0.000 7.469 In
10.222 0.000 2.136 In
3.262 0.000 7.036 Hg
6.364 0.000 2.569 Hg
-0.119 0.000 1.890 Cl
3.189 1.908 3.396 Cl
3.521 0.000 0.047 Cl
6.436 1.908 6.209 Cl
3.189 -1.908 3.396 Cl
6.105 0.000 9.558 Cl
6.436 -1.908 6.209 Cl
9.744 0.000 7.716 Cl
```

Main lines, in order of falling intensity (5° ≤ 2θ ≤ 70°):
4.803 Å, 2θ 18.47, I = 100; 5.010 Å, 2θ 17.70, I = 78; 3.846 Å, 2θ 23.13, I = 59; 2.922 Å, 2θ 30.59, I = 50; 3.002 Å, 2θ 29.76, I = 49; 3.182 Å, 2θ 28.04, I = 48

=====

Please write out number 3 again, unchanged.
For LiInHgCl4, a PBE-relaxed structure gives the computed X-ray powder pattern in this record (Cu Kα).
No peak broadening, texture or thermal motion is included.

```
LiInHgCl4
1.0
6.365 -3.846 0.000
6.365 3.846 0.000
-3.104 0.000 9.605
Li In Hg Cl
2 2 2 8
Cartesian
2.327 0.000 2.154 Li
7.299 0.000 7.452 Li
-0.597 0.000 7.469 In
10.222 0.000 2.136 In
3.262 0.000 7.036 Hg
6.364 0.000 2.569 Hg
-0.119 0.000 1.890 Cl
3.189 1.908 3.396 Cl
3.521 0.000 0.047 Cl
6.436 1.908 6.209 Cl
3.189 -1.908 3.396 Cl
6.105 0.000 9.558 Cl
6.436 -1.908 6.209 Cl
9.744 0.000 7.716 Cl
```

Main lines, in order of falling intensity (5° ≤ 2θ ≤ 70°):
4.803 Å, 2θ 18.47, I = 100; 5.010 Å, 2θ 17.70, I = 78; 3.846 Å, 2θ 23.13, I = 59; 2.922 Å, 2θ 30.59, I = 50; 3.002 Å, 2θ 29.76, I = 49; 3.182 Å, 2θ 28.04, I = 48